ThAgPdRh: computed X-ray diffraction stick pattern (copper Kα), based on a DFT-relaxed cell (GGA-PBE, Alexandria).

Atomic structure:
a b c (Å): 3.9359 4.2276 4.6034
angles (deg): 90.00 90.00 90.00
Fractional coordinates of all 4 atoms:
Th1 0.0000 0.0000 0.0000
Ag1 0.0000 0.5000 0.5000
Pd1 0.5000 0.0000 0.5000
Rh1 0.5000 0.5000 0.0000

Main lines, by angle (10° ≤ 2θ ≤ 80°):
| hkl | d [Å] | Rel. int. |
| --- | --- | --- |
| 1 1 1 | 2.442 | 1000 |
| 0 0 2 | 2.302 | 211 |
| 0 2 0 | 2.114 | 164 |
| 2 0 0 | 1.968 | 132 |
| 0 2 2 | 1.557 | 123 |
| 2 0 2 | 1.496 | 108 |
| 1 1 3 | 1.354 | 154 |
| 1 3 1 | 1.275 | 126 |
| 2 2 2 | 1.221 | 110 |
| 3 1 1 | 1.209 | 109 |